This entry pairs a crystal structure of Dy2Y2Er2LuNi2Te2 with its computed PXRD pattern. Radiation: Cu Kα (weighted mean of Kα1 and Kα2). Structure: a PBE-relaxed structure.
Kinematic intensities with the Lorentz-polarization factor, no thermal factor.

Structure:
```
data_Dy2Y2Er2LuNi2Te2
_chemical_formula_sum 'Dy4 Y4 Er4 Lu2 Ni4 Te4'
_space_group_name_H-M_alt 'I m m 2'
_space_group_IT_number 44
_cell_length_a 3.838
_cell_length_b 15.576
_cell_length_c 9.573
_cell_angle_alpha 90.00
_cell_angle_beta 90.00
_cell_angle_gamma 90.00
loop_
_space_group_symop_operation_xyz
'x,y,z'
'-x,-y,z'
'-x,y,z'
'x,-y,z'
'x+1/2,y+1/2,z+1/2'
'-x+1/2,-y+1/2,z+1/2'
'-x+1/2,y+1/2,z+1/2'
'x+1/2,-y+1/2,z+1/2'
loop_
_atom_site_label
_atom_site_fract_x
_atom_site_fract_y
_atom_site_fract_z
Dy1 0.000 0.146 0.000
Y1 0.000 0.369 0.147
Er1 0.000 0.184 0.348
Lu1 0.000 0.500 0.728
Ni1 0.000 0.263 0.657
Te1 0.000 0.000 0.491
Te2 0.000 0.500 0.394
```

Main lines, most intense first (15° ≤ 2θ ≤ 90°):
two_theta  I (rel.)  h k l
34.11  1000  1 4 1
32.95  900  0 3 3
34.57  731  0 6 0
30.40  547  1 1 2
28.93  478  1 3 0
58.91  407  2 3 3
36.62  376  1 0 3
51.18  353  1 7 2
47.37  321  2 0 0
38.47  288  1 2 3

This entry pairs a crystal structure of PrNdAs2Pt2 with its computed PXRD pattern. Radiation: Cu Kα (weighted mean of Kα1 and Kα2). Structure: a PBE-relaxed structure.
Kinematic intensities with the Lorentz-polarization factor, no thermal factor.

Structure:
```
data_PrNdAs2Pt2
_chemical_formula_sum 'Pr2 Nd2 As4 Pt4'
_space_group_name_H-M_alt 'P 63/m m c'
_space_group_IT_number 194
_space_group_name_Hall '-P 6c 2c'
_cell_length_a 4.3600
_cell_length_b 4.3600
_cell_length_c 16.0071
_cell_angle_alpha 90.00
_cell_angle_beta 90.00
_cell_angle_gamma 120.00
loop_
_atom_site_label
_atom_site_fract_x
_atom_site_fract_y
_atom_site_fract_z
Pr1 0.0000 0.0000 0.2500
Nd1 0.0000 0.0000 0.0000
As1 0.3333 0.6667 0.1190
Pt1 0.3333 0.6667 0.6295
```

Main lines, most intense first (15° ≤ 2θ ≤ 90°):
two_theta  I (rel.)  h k l
32.61  1000  1 0 4
41.42  578  1 1 0
63.06  321  1 1 8
53.68  245  2 0 4
69.99  221  2 1 4
75.57  183  3 0 0
24.22  152  1 0 1
45.32  143  0 0 8
22.21  87  0 0 4
36.81  85  1 0 5

This entry pairs a crystal structure of PrPN2 with its computed PXRD pattern. Radiation: Cu Kα (weighted mean of Kα1 and Kα2). Structure: a PBE-relaxed structure.
Kinematic intensities with the Lorentz-polarization factor, no thermal factor.

Structure:
```
data_PrPN2
_chemical_formula_sum 'Pr4 P4 N8'
_space_group_name_H-M_alt 'C 1 2/c 1'
_space_group_IT_number 15
_cell_length_a 6.969
_cell_length_b 6.250
_cell_length_c 6.886
_cell_angle_alpha 90.00
_cell_angle_beta 116.62
_cell_angle_gamma 90.00
loop_
_space_group_symop_operation_xyz
'x,y,z'
'-x,-y,-z'
'-x,y,-z+1/2'
'x,-y,z+1/2'
'x+1/2,y+1/2,z'
'-x+1/2,-y+1/2,-z'
'-x+1/2,y+1/2,-z+1/2'
'x+1/2,-y+1/2,z+1/2'
loop_
_atom_site_label
_atom_site_fract_x
_atom_site_fract_y
_atom_site_fract_z
Pr1 0.000 0.150 0.250
P1 0.000 0.348 0.750
N1 0.125 0.208 0.646
```

Main lines, most intense first (15° ≤ 2θ ≤ 90°):
two_theta  I (rel.)  h k l
28.64  1000  2 0 0
32.12  953  0 2 1
29.01  871  0 0 2
20.71  852  1 1 -1
38.74  718  2 2 -1
20.12  644  1 1 0
50.17  566  2 0 2
30.33  502  2 0 -2
48.02  320  2 2 1
53.42  268  0 2 3

This entry pairs a crystal structure of Er2Tc2O5 with its computed PXRD pattern. Radiation: Cu Kα (weighted mean of Kα1 and Kα2). Structure: a PBE-relaxed structure.
Kinematic intensities with the Lorentz-polarization factor, no thermal factor.

Structure:
```
data_Er2Tc2O5
_chemical_formula_sum 'Er2 Tc2 O5'
_space_group_name_H-M_alt 'P 4/m m m'
_space_group_IT_number 123
_space_group_name_Hall '-P 4 2'
_cell_length_a 3.956
_cell_length_b 3.956
_cell_length_c 6.708
_cell_angle_alpha 90.00
_cell_angle_beta 90.00
_cell_angle_gamma 90.00
loop_
_atom_site_label
_atom_site_fract_x
_atom_site_fract_y
_atom_site_fract_z
Er1 0.000 0.000 0.000
Er2 0.000 0.000 0.500
Tc1 0.500 0.500 0.173
O1 0.000 0.500 0.233
O2 0.500 0.500 0.500
```

Main lines, most intense first (15° ≤ 2θ ≤ 90°):
two_theta  I (rel.)  h k l
35.08  1000  1 0 2
31.99  810  1 1 0
45.87  475  2 0 0
59.03  452  2 1 2
42.06  288  1 1 2
59.91  178  1 0 4
78.60  163  2 1 4
66.89  146  2 2 0
76.07  141  3 1 0
46.66  112  1 0 3

This entry pairs a crystal structure of TaNbSb2Os2 with its computed PXRD pattern. Radiation: Cu Kα (weighted mean of Kα1 and Kα2). Structure: a PBE-relaxed structure.
Kinematic intensities with the Lorentz-polarization factor, no thermal factor.

Structure:
```
data_TaNbSb2Os2
_chemical_formula_sum 'Ta4 Nb4 Sb8 Os8'
_space_group_name_H-M_alt 'P 1 m 1'
_space_group_IT_number 6
_cell_length_a 8.801
_cell_length_b 4.400
_cell_length_c 13.202
_cell_angle_alpha 90.00
_cell_angle_beta 109.47
_cell_angle_gamma 90.00
loop_
_space_group_symop_operation_xyz
'x,y,z'
'x,-y,z'
loop_
_atom_site_label
_atom_site_fract_x
_atom_site_fract_y
_atom_site_fract_z
Ta1 0.000 0.000 0.000
Ta2 0.125 0.500 0.750
Ta3 0.250 0.000 0.500
Ta4 0.500 0.000 0.000
Nb1 0.375 0.500 0.250
Nb2 0.625 0.500 0.750
Nb3 0.750 0.000 0.500
Nb4 0.875 0.500 0.250
Sb1 0.000 0.500 0.500
Sb2 0.125 0.000 0.250
Sb3 0.250 0.500 0.000
Sb4 0.375 0.000 0.750
Sb5 0.500 0.500 0.500
Sb6 0.625 0.000 0.250
Sb7 0.750 0.500 0.000
Sb8 0.875 0.000 0.750
Os1 0.062 0.500 0.125
Os2 0.188 0.000 0.875
Os3 0.312 0.500 0.625
Os4 0.437 0.000 0.375
Os5 0.562 0.500 0.125
Os6 0.688 0.000 0.876
Os7 0.813 0.500 0.625
Os8 0.938 0.000 0.375
```

Main lines, most intense first (15° ≤ 2θ ≤ 90°):
two_theta  I (rel.)  h k l
41.02  1000  2 1 3
24.78  441  2 0 1
74.73  342  6 1 1
48.52  221  4 1 0
59.41  168  0 0 8
88.98  114  4 2 6
65.36  92  2 2 5
80.13  70  6 0 3
28.69  35  0 0 4
67.28  11  4 2 2

This entry pairs a crystal structure of ZnH8C4O8 with its computed PXRD pattern. Radiation: Cu Kα (weighted mean of Kα1 and Kα2). Structure: a PBE-relaxed structure.
Kinematic intensities with the Lorentz-polarization factor, no thermal factor.

Structure:
```
data_ZnH8C4O8
_chemical_formula_sum 'Zn4 H32 C16 O32'
_space_group_name_H-M_alt 'C 1 2/c 1'
_space_group_IT_number 15
_cell_length_a 8.721
_cell_length_b 13.287
_cell_length_c 6.465
_cell_angle_alpha 90.00
_cell_angle_beta 98.99
_cell_angle_gamma 90.00
loop_
_space_group_symop_operation_xyz
'x,y,z'
'-x,-y,-z'
'-x,y,-z+1/2'
'x,-y,z+1/2'
'x+1/2,y+1/2,z'
'-x+1/2,-y+1/2,-z'
'-x+1/2,y+1/2,-z+1/2'
'x+1/2,-y+1/2,z+1/2'
loop_
_atom_site_label
_atom_site_fract_x
_atom_site_fract_y
_atom_site_fract_z
Zn1 0.250 0.250 0.000
H1 0.097 0.248 0.607
H2 0.136 0.122 0.250
H3 0.147 0.062 0.046
H4 0.204 0.149 0.618
C1 0.024 0.424 0.996
C2 0.117 0.483 0.504
O1 0.047 0.330 0.992
O2 0.115 0.129 0.098
O3 0.186 0.213 0.690
O4 0.242 0.039 0.492
```

Main lines, most intense first (15° ≤ 2θ ≤ 90°):
two_theta  I (rel.)  h k l
17.28  1000  1 1 -1
27.95  847  0 0 2
25.71  630  1 3 -1
19.72  590  1 1 1
34.09  487  2 4 0
38.16  480  3 3 -1
20.62  330  2 0 0
24.63  282  2 2 0
46.03  253  1 1 3
47.06  250  1 3 -3

This entry pairs a crystal structure of DyHo3Pt4 with its computed PXRD pattern. Radiation: Cu Kα (weighted mean of Kα1 and Kα2). Structure: a PBE-relaxed structure.
Kinematic intensities with the Lorentz-polarization factor, no thermal factor.

Structure:
```
data_DyHo3Pt4
_chemical_formula_sum 'Dy1 Ho3 Pt4'
_space_group_name_H-M_alt 'P 1 m 1'
_space_group_IT_number 6
_cell_length_a 5.553
_cell_length_b 4.491
_cell_length_c 7.000
_cell_angle_alpha 90.00
_cell_angle_beta 90.08
_cell_angle_gamma 90.00
loop_
_space_group_symop_operation_xyz
'x,y,z'
'x,-y,z'
loop_
_atom_site_label
_atom_site_fract_x
_atom_site_fract_y
_atom_site_fract_z
Dy1 0.000 0.000 0.000
Ho1 0.219 0.000 0.500
Ho2 0.500 0.500 0.137
Ho3 0.719 0.500 0.636
Pt1 0.015 0.500 0.275
Pt2 0.205 0.500 0.773
Pt3 0.515 0.000 0.862
Pt4 0.704 0.000 0.363
```

Main lines, most intense first (15° ≤ 2θ ≤ 90°):
two_theta  I (rel.)  h k l
36.34  1000  1 1 2
40.30  903  2 1 1
32.43  729  0 1 2
40.16  508  0 2 0
34.76  453  2 0 -1
54.14  258  2 2 -1
55.02  234  1 0 4
70.27  226  1 2 4
42.00  208  1 0 -3
28.57  166  1 1 1

This entry pairs a crystal structure of Y3Tm2Lu2Ni2Te2 with its computed PXRD pattern. Radiation: Cu Kα (weighted mean of Kα1 and Kα2). Structure: a PBE-relaxed structure.
Kinematic intensities with the Lorentz-polarization factor, no thermal factor.

Structure:
```
data_Y3Tm2Lu2Ni2Te2
_chemical_formula_sum 'Y6 Tm4 Lu4 Ni4 Te4'
_space_group_name_H-M_alt 'I m m 2'
_space_group_IT_number 44
_cell_length_a 3.836
_cell_length_b 15.483
_cell_length_c 9.530
_cell_angle_alpha 90.00
_cell_angle_beta 90.00
_cell_angle_gamma 90.00
loop_
_space_group_symop_operation_xyz
'x,y,z'
'-x,-y,z'
'-x,y,z'
'x,-y,z'
'x+1/2,y+1/2,z+1/2'
'-x+1/2,-y+1/2,z+1/2'
'-x+1/2,y+1/2,z+1/2'
'x+1/2,-y+1/2,z+1/2'
loop_
_atom_site_label
_atom_site_fract_x
_atom_site_fract_y
_atom_site_fract_z
Y1 0.000 0.000 0.000
Y2 0.000 0.132 0.419
Tm1 0.000 0.314 0.620
Lu1 0.000 0.352 0.272
Ni1 0.000 0.236 0.928
Te1 0.000 0.000 0.667
Te2 0.000 0.500 0.763
```

Main lines, most intense first (15° ≤ 2θ ≤ 90°):
two_theta  I (rel.)  h k l
34.23  1000  1 4 1
33.11  913  0 3 3
34.72  815  0 6 0
30.47  436  1 1 2
29.00  423  1 3 0
36.73  354  1 0 3
59.04  348  2 3 3
38.59  328  1 2 3
47.40  323  2 0 0
30.35  214  0 5 1

This entry pairs a crystal structure of K3PdO3 with its computed PXRD pattern. Radiation: Cu Kα (weighted mean of Kα1 and Kα2). Structure: a PBE-relaxed structure.
Kinematic intensities with the Lorentz-polarization factor, no thermal factor.

Structure:
```
data_K3PdO3
_chemical_formula_sum 'K12 Pd4 O12'
_space_group_name_H-M_alt 'I 4 c m'
_space_group_IT_number 108
_space_group_name_Hall 'I 4 -2c'
_cell_length_a 7.714
_cell_length_b 7.714
_cell_length_c 10.070
_cell_angle_alpha 90.00
_cell_angle_beta 90.00
_cell_angle_gamma 90.00
loop_
_atom_site_label
_atom_site_fract_x
_atom_site_fract_y
_atom_site_fract_z
K1 0.000 0.000 0.000
K2 0.230 0.270 0.251
Pd1 0.000 0.500 0.494
O1 0.000 0.000 0.250
O2 0.168 0.332 0.991
```

Main lines, most intense first (15° ≤ 2θ ≤ 90°):
two_theta  I (rel.)  h k l
29.17  1000  2 0 2
32.84  613  2 2 0
24.05  365  1 1 2
49.26  350  2 2 4
56.38  344  4 2 2
35.66  298  0 0 4
16.25  183  1 1 0
17.61  165  0 0 2
47.12  161  4 0 0
60.47  144  4 0 4

This entry pairs a crystal structure of TmScS2Br2 with its computed PXRD pattern. Radiation: Cu Kα (weighted mean of Kα1 and Kα2). Structure: a PBE-relaxed structure.
Kinematic intensities with the Lorentz-polarization factor, no thermal factor.

Structure:
```
data_TmScS2Br2
_chemical_formula_sum 'Tm1 Sc1 S2 Br2'
_space_group_name_H-M_alt 'P m m 2'
_space_group_IT_number 25
_cell_length_a 3.881
_cell_length_b 5.209
_cell_length_c 8.866
_cell_angle_alpha 90.00
_cell_angle_beta 90.00
_cell_angle_gamma 90.00
loop_
_space_group_symop_operation_xyz
'x,y,z'
'-x,-y,z'
'-x,y,z'
'x,-y,z'
loop_
_atom_site_label
_atom_site_fract_x
_atom_site_fract_y
_atom_site_fract_z
Tm1 0.000 0.000 0.000
Sc1 0.500 0.500 0.246
S1 0.000 0.500 0.051
S2 0.500 0.000 0.210
Br1 0.000 0.500 0.456
Br2 0.500 0.000 0.776
```

Main lines, most intense first (15° ≤ 2θ ≤ 90°):
two_theta  I (rel.)  h k l
19.77  1000  0 1 1
30.61  828  1 0 2
46.75  633  2 0 0
30.44  398  1 1 1
42.17  397  1 1 3
34.44  341  0 2 0
51.28  160  2 1 1
17.02  141  0 1 0
59.39  134  2 2 0
40.71  126  0 0 4

This entry pairs a crystal structure of Zr3CdCN with its computed PXRD pattern. Radiation: Cu Kα (weighted mean of Kα1 and Kα2). Structure: a PBE-relaxed structure.
Kinematic intensities with the Lorentz-polarization factor, no thermal factor.

Structure:
```
data_Zr3CdCN
_chemical_formula_sum 'Zr6 Cd2 C2 N2'
_space_group_name_H-M_alt 'P -3 m 1'
_space_group_IT_number 164
_space_group_name_Hall '-P 3 2"'
_cell_length_a 3.3433
_cell_length_b 3.3433
_cell_length_c 20.2000
_cell_angle_alpha 90.00
_cell_angle_beta 90.00
_cell_angle_gamma 120.00
loop_
_atom_site_label
_atom_site_fract_x
_atom_site_fract_y
_atom_site_fract_z
Zr1 0.0000 0.0000 0.0000
Zr2 0.0000 0.0000 0.5000
Zr3 0.3333 0.6667 0.1224
Zr4 0.3333 0.6667 0.3720
Cd1 0.0000 0.0000 0.2461
C1 0.3333 0.6667 0.5704
N1 0.3333 0.6667 0.9326
```

Main lines, most intense first (15° ≤ 2θ ≤ 90°):
two_theta  I (rel.)  h k l
35.75  1000  0 1 4
54.93  262  1 1 0
35.55  250  0 0 8
67.16  227  1 1 8
31.21  175  0 1 1
63.98  162  0 1 12
38.24  159  1 0 5
67.28  147  2 0 4
33.70  114  1 0 3
30.88  85  1 0 0

This entry pairs a crystal structure of DyYIn3Si2 with its computed PXRD pattern. Radiation: Cu Kα (weighted mean of Kα1 and Kα2). Structure: a PBE-relaxed structure.
Kinematic intensities with the Lorentz-polarization factor, no thermal factor.

Structure:
```
data_DyYIn3Si2
_chemical_formula_sum 'Dy2 Y2 In6 Si4'
_space_group_name_H-M_alt 'C 1 m 1'
_space_group_IT_number 8
_cell_length_a 10.655
_cell_length_b 4.277
_cell_length_c 6.995
_cell_angle_alpha 90.00
_cell_angle_beta 99.95
_cell_angle_gamma 90.00
loop_
_space_group_symop_operation_xyz
'x,y,z'
'x,-y,z'
'x+1/2,y+1/2,z'
'x+1/2,-y+1/2,z'
loop_
_atom_site_label
_atom_site_fract_x
_atom_site_fract_y
_atom_site_fract_z
Dy1 0.000 0.000 0.000
Y1 0.242 0.000 0.663
In1 0.121 0.500 0.331
In2 0.316 0.000 0.181
In3 0.426 0.500 0.482
Si1 0.028 0.500 0.714
Si2 0.214 0.500 0.950
```

Main lines, most intense first (15° ≤ 2θ ≤ 90°):
two_theta  I (rel.)  h k l
33.34  1000  1 1 -2
33.08  580  3 1 0
37.27  407  3 1 1
42.26  282  0 2 0
33.49  279  2 0 2
34.41  265  4 0 -1
39.42  192  4 0 -2
65.11  151  7 1 -1
54.97  133  2 2 2
55.59  130  4 2 -1